Diffraction record for KHoCoSi2O7. The X-ray powder pattern is computed, not measured: it uses a DFT-relaxed cell (GGA+U, Alexandria) and copper Kα.
Intensities are scaled so that the largest is 100.

Main lines, sorted by position (2θ from 15° to 90°):
two_theta, d_spacing, Rel. int., index
16.1, 5.519, 66, 1 1 -1
19.3, 4.592, 43, 1 1 1
23.1, 3.842, 54, 1 1 -2
28.8, 3.098, 100, 2 2 0
29.7, 3.007, 57, 1 3 -1
32.4, 2.763, 45, 1 1 -3

Cell lengths 8.058, 10.145, 8.686 Å; angles 90.00, 103.92, 90.00 degrees
Space group C2 (No. 5)
Asymmetric unit:
K (0.203, 0.000, 0.289) (multiplicity 4)
Ho (0.227, 0.580, 0.170) (multiplicity 4)
Co (0.000, 0.291, 0.000) (multiplicity 2)
Co (0.000, 0.744, 0.500) (multiplicity 2)
Si (0.062, 0.316, 0.351) (multiplicity 4)
Si (0.107, 0.758, 0.863) (multiplicity 4)
O (0.000, 0.394, 0.500) (multiplicity 2)
O (0.000, 0.702, 0.000) (multiplicity 2)
O (0.024, 0.414, 0.191) (multiplicity 4)
O (0.029, 0.691, 0.289) (multiplicity 4)
O (0.054, 0.183, 0.696) (multiplicity 4)
O (0.119, 0.915, 0.869) (multiplicity 4)
O (0.213, 0.180, 0.055) (multiplicity 4)
O (0.234, 0.792, 0.596) (multiplicity 4)